# Pm2Pr6Ga
Simulated powder X-ray diffraction pattern, λ = 1.5418 Å (Cu Kα). Input: a PBE-relaxed structure.
Intensities are scaled so that the largest is 1000.

Peak list (10 most intense, 10 to 80 degrees two-theta, most intense first)
d/Å, Rel. int.
2.908, 1000
2.876, 608
2.809, 519
2.021, 197
2.997, 189
1.640, 132
1.635, 114
2.452, 89
2.004, 77
1.848, 76

```
data_Pm2Pr6Ga
_cell_length_a 10.1926
_cell_length_b 10.6308
_cell_length_c 5.6193
_cell_angle_alpha 90.00
_cell_angle_beta 90.00
_cell_angle_gamma 90.00
_symmetry_space_group_name_H-M 'P n n m'
_symmetry_Int_Tables_number 58
loop_
_symmetry_equiv_pos_as_xyz
'x,y,z'
'-x,-y,-z'
'-x,-y,z'
'x,y,-z'
'x+1/2,-y+1/2,-z+1/2'
'-x+1/2,y+1/2,z+1/2'
'-x+1/2,y+1/2,-z+1/2'
'x+1/2,-y+1/2,z+1/2'
loop_
_atom_site_label
_atom_site_fract_x
_atom_site_fract_y
_atom_site_fract_z
Pm1 0.1944 0.2453 0.0000
Pr1 0.0192 0.3042 0.5000
Pr2 0.1330 0.8958 0.0000
Pr3 0.1923 0.5688 0.0000
Ga1 0.0000 0.0000 0.5000
```


# Pm3PrGa2
Simulated powder X-ray diffraction pattern, λ = 1.5418 Å (Cu Kα). Input: a PBE-relaxed structure.
Intensities are scaled so that the largest is 1000.

Peak list (10 most intense, 10 to 80 degrees two-theta, most intense first)
d/Å, Rel. int.
2.910, 1000
2.824, 665
2.327, 489
3.135, 412
2.502, 212
2.475, 163
2.265, 154
3.534, 147
2.670, 128
1.695, 119

```
data_Pm3PrGa2
_cell_length_a 17.7639
_cell_length_b 4.6538
_cell_length_c 9.1663
_cell_angle_alpha 90.00
_cell_angle_beta 113.46
_cell_angle_gamma 90.00
_symmetry_space_group_name_H-M 'C 1 2/m 1'
_symmetry_Int_Tables_number 12
loop_
_symmetry_equiv_pos_as_xyz
'x,y,z'
'-x,-y,-z'
'-x,y,-z'
'x,-y,z'
'x+1/2,y+1/2,z'
'-x+1/2,-y+1/2,-z'
'-x+1/2,y+1/2,-z'
'x+1/2,-y+1/2,z'
loop_
_atom_site_label
_atom_site_fract_x
_atom_site_fract_y
_atom_site_fract_z
Pm1 0.0474 0.0000 0.1905
Pm2 0.1481 0.5000 0.9763
Pm3 0.1807 0.5000 0.4322
Pr1 0.1184 0.0000 0.6456
Ga1 0.9996 0.5000 0.3580
Ga2 0.2289 0.0000 0.2072
```


# PmPr2Ga4
Simulated powder X-ray diffraction pattern, λ = 1.5418 Å (Cu Kα). Input: a PBE-relaxed structure.
Intensities are scaled so that the largest is 1000.

Peak list (10 most intense, 10 to 80 degrees two-theta, most intense first)
d/Å, Rel. int.
2.901, 1000
2.870, 571
2.563, 294
2.279, 291
2.198, 275
2.114, 245
1.702, 242
3.513, 211
1.582, 183
1.524, 170

```
data_PmPr2Ga4
_cell_length_a 4.2290
_cell_length_b 4.3966
_cell_length_c 18.9376
_cell_angle_alpha 90.00
_cell_angle_beta 90.00
_cell_angle_gamma 90.00
_symmetry_space_group_name_H-M 'I m m m'
_symmetry_Int_Tables_number 71
_symmetry_space_group_name_Hall '-I 2 2'
loop_
_atom_site_label
_atom_site_fract_x
_atom_site_fract_y
_atom_site_fract_z
Pm1 0.0000 0.0000 0.0000
Pr1 0.0000 0.5000 0.3161
Ga1 0.0000 0.0000 0.4350
Ga2 0.0000 0.5000 0.1402
```